# 1
This entry pairs a crystal structure of NpMnSb with its simulated powder X-ray diffraction pattern. Radiation: Cu Kα X-rays. Structure: a DFT-relaxed cell (PBE, Alexandria).

Main lines, by angle (2θ = 15–90°):
| 2theta | d_spacing | I_rel | h k l |
| --- | --- | --- | --- |
| 26.30 | 3.389 | 23.7 | 0 4 0 |
| 29.67 | 3.011 | 100.0 | 1 1 1 |
| 31.73 | 2.820 | 23.4 | 0 4 1 |
| 35.20 | 2.549 | 21.6 | 1 3 1 |
| 35.31 | 2.542 | 19.3 | 0 0 2 |
| 44.51 | 2.036 | 60.0 | 0 4 2 |
| 46.75 | 1.943 | 16.7 | 2 0 0 |
| 47.22 | 1.925 | 19.3 | 1 3 2 |
| 59.93 | 1.544 | 22.8 | 2 0 2 |
| 66.57 | 1.405 | 20.2 | 2 4 2 |

```
data_NpMnSb
_chemical_formula_sum 'Np4 Mn4 Sb4'
_space_group_name_H-M_alt 'C m c m'
_space_group_IT_number 63
_space_group_name_Hall '-C 2c 2'
_cell_length_a 3.886
_cell_length_b 13.556
_cell_length_c 5.084
_cell_angle_alpha 90.00
_cell_angle_beta 90.00
_cell_angle_gamma 90.00
loop_
_atom_site_label
_atom_site_fract_x
_atom_site_fract_y
_atom_site_fract_z
Np1 0.000 0.155 0.250
Mn1 0.000 0.000 0.000
Sb1 0.000 0.389 0.250
```

---

# 2
This entry pairs a crystal structure of NpMnSe3 with its simulated powder X-ray diffraction pattern. Radiation: Cu Kα X-rays. Structure: a DFT-relaxed cell (PBE, Alexandria).

Main lines, by angle (2θ = 15–90°):
| 2theta | d_spacing | I_rel | h k l |
| --- | --- | --- | --- |
| 15.27 | 5.801 | 45.2 | 2 0 0 |
| 19.46 | 4.562 | 79.7 | 2 0 1 |
| 24.73 | 3.599 | 46.0 | 1 1 0 |
| 33.92 | 2.643 | 48.0 | 2 0 3 |
| 34.71 | 2.584 | 100.0 | 3 1 -2 |
| 34.96 | 2.566 | 67.1 | 1 1 -3 |
| 35.43 | 2.534 | 43.0 | 0 0 4 |
| 38.79 | 2.322 | 37.7 | 3 1 -3 |
| 40.48 | 2.228 | 47.2 | 3 1 2 |
| 48.06 | 1.893 | 41.9 | 0 2 0 |

```
data_NpMnSe3
_chemical_formula_sum 'Np4 Mn4 Se12'
_space_group_name_H-M_alt 'C 1 m 1'
_space_group_IT_number 8
_space_group_name_Hall 'C -2y'
_cell_length_a 11.992
_cell_length_b 3.786
_cell_length_c 10.475
_cell_angle_alpha 90.00
_cell_angle_beta 104.65
_cell_angle_gamma 90.00
loop_
_atom_site_label
_atom_site_fract_x
_atom_site_fract_y
_atom_site_fract_z
Np1 0.000 0.000 0.000
Np2 0.085 0.000 0.719
Mn1 0.286 0.000 0.527
Mn2 0.295 0.500 0.193
Se1 0.150 0.500 0.547
Se2 0.178 0.000 0.246
Se3 0.181 0.500 0.939
Se4 0.401 0.500 0.471
Se5 0.406 0.000 0.782
Se6 0.434 0.000 0.169
```

---

# 3
This entry pairs a crystal structure of NpMnSe3 with its simulated powder X-ray diffraction pattern. Radiation: Cu Kα X-rays. Structure: a DFT-relaxed cell (PBE, Alexandria).

Main lines, by angle (2θ = 15–90°):
| 2theta | d_spacing | I_rel | h k l |
| --- | --- | --- | --- |
| 23.13 | 3.845 | 28.4 | 2 0 1 |
| 23.75 | 3.746 | 31.8 | 0 1 1 |
| 32.38 | 2.765 | 63.7 | 1 1 3 |
| 32.70 | 2.738 | 27.9 | 2 1 1 |
| 34.74 | 2.583 | 100.0 | 2 1 2 |
| 35.12 | 2.555 | 33.0 | 1 0 5 |
| 40.69 | 2.217 | 32.2 | 0 1 5 |
| 43.17 | 2.096 | 24.3 | 3 0 4 |
| 45.83 | 1.980 | 24.6 | 3 1 3 |
| 46.57 | 1.950 | 29.9 | 0 2 0 |

```
data_NpMnSe3
_chemical_formula_sum 'Np4 Mn4 Se12'
_space_group_name_H-M_alt 'P n m a'
_space_group_IT_number 62
_space_group_name_Hall '-P 2ac 2n'
_cell_length_a 8.024
_cell_length_b 3.900
_cell_length_c 13.476
_cell_angle_alpha 90.00
_cell_angle_beta 90.00
_cell_angle_gamma 90.00
loop_
_atom_site_label
_atom_site_fract_x
_atom_site_fract_y
_atom_site_fract_z
Np1 0.107 0.250 0.172
Mn1 0.161 0.750 0.448
Se1 0.018 0.750 0.616
Se2 0.150 0.750 0.004
Se3 0.180 0.250 0.786
```

---

What did the second record say?
This entry pairs a crystal structure of NpMnSe3 with its simulated powder X-ray diffraction pattern. Radiation: Cu Kα X-rays. Structure: a DFT-relaxed cell (PBE, Alexandria).

Main lines, by angle (2θ = 15–90°):
| 2theta | d_spacing | I_rel | h k l |
| --- | --- | --- | --- |
| 15.27 | 5.801 | 45.2 | 2 0 0 |
| 19.46 | 4.562 | 79.7 | 2 0 1 |
| 24.73 | 3.599 | 46.0 | 1 1 0 |
| 33.92 | 2.643 | 48.0 | 2 0 3 |
| 34.71 | 2.584 | 100.0 | 3 1 -2 |
| 34.96 | 2.566 | 67.1 | 1 1 -3 |
| 35.43 | 2.534 | 43.0 | 0 0 4 |
| 38.79 | 2.322 | 37.7 | 3 1 -3 |
| 40.48 | 2.228 | 47.2 | 3 1 2 |
| 48.06 | 1.893 | 41.9 | 0 2 0 |

```
data_NpMnSe3
_chemical_formula_sum 'Np4 Mn4 Se12'
_space_group_name_H-M_alt 'C 1 m 1'
_space_group_IT_number 8
_space_group_name_Hall 'C -2y'
_cell_length_a 11.992
_cell_length_b 3.786
_cell_length_c 10.475
_cell_angle_alpha 90.00
_cell_angle_beta 104.65
_cell_angle_gamma 90.00
loop_
_atom_site_label
_atom_site_fract_x
_atom_site_fract_y
_atom_site_fract_z
Np1 0.000 0.000 0.000
Np2 0.085 0.000 0.719
Mn1 0.286 0.000 0.527
Mn2 0.295 0.500 0.193
Se1 0.150 0.500 0.547
Se2 0.178 0.000 0.246
Se3 0.181 0.500 0.939
Se4 0.401 0.500 0.471
Se5 0.406 0.000 0.782
Se6 0.434 0.000 0.169
```